The following is a simulated X-ray powder pattern of LaZnFeMoO6. It was derived from a cell relaxed with GGA+U, using λ = 1.5418 Å (Cu Kα).
Neutral-atom scattering factors, no anomalous dispersion.

Structure:
```
data_LaZnFeMoO6
_space_group_name_H-M_alt 'P 1 c 1'
_space_group_IT_number 7
_cell_length_a 5.5320
_cell_length_b 5.9943
_cell_length_c 9.4984
_cell_angle_alpha 90.00
_cell_angle_beta 125.20
_cell_angle_gamma 90.00
loop_
_space_group_symop_operation_xyz
'x,y,z'
'x,-y,z+1/2'
loop_
_atom_site_label
_atom_site_fract_x
_atom_site_fract_y
_atom_site_fract_z
La1 0.0000 0.1782 0.0000
Zn1 0.5032 0.1333 0.5048
Fe1 0.7714 0.2764 0.2567
Mo1 0.2687 0.2815 0.7480
O1 0.0530 0.4660 0.2068
O2 0.1585 0.2179 0.5039
O3 0.4310 0.2409 0.0001
O4 0.5000 0.0377 0.3012
O5 0.6321 0.4276 0.8057
O6 0.9207 0.0688 0.6941
```

Main lines, in order of rising 2θ (5 to 70 degrees two-theta):
2θ (°)	I_rel	hkl
14.78	23.9	0 1 0
18.70	26.6	0 1 1
27.38	32.7	0 1 2
29.81	31.2	0 2 0
31.79	95.1	1 1 1
31.97	100.0	1 1 -3
32.37	54.0	2 0 -2
34.02	47.2	1 2 -1
44.58	31.6	2 2 -2
46.82	30.8	0 0 4
57.26	24.3	3 1 -1
57.59	23.0	3 1 -5